Diffraction record for TaCd2CoO6. The powder diffractogram is theoretical, not measured: it uses DFT lattice parameters and positions (PBE+U) and Cu Kα X-rays.

Structure:
Lattice parameters (Å, degrees): 5.3668 5.4603 9.3573 90.00 124.90 90.00
Space group P2_1/c (No. 14)
Inequivalent atoms, fractional coordinates:
Ta 0.0000 0.0000 0.0000 [2 per cell]
Cd 0.2586 0.0378 0.7495 [4 per cell]
Co 0.5000 0.0000 0.5000 [2 per cell]
O 0.1639 0.0258 0.2545 [4 per cell]
O 0.2568 0.7031 0.0481 [4 per cell]
O 0.3457 0.2097 0.0457 [4 per cell]

Most intense lines, 10° ≤ 2θ ≤ 80°, by angle:
19.96°, rel. 115, (0 1 1); 20.19°, rel. 116, (1 0 -2); 32.80°, rel. 241, (0 2 0); 33.06°, rel. 1000, (1 1 1); 33.39°, rel. 238, (2 0 -2); 47.39°, rel. 132, (0 0 4); 47.51°, rel. 238, (2 2 -2); 58.72°, rel. 163, (1 3 -3); 59.47°, rel. 215, (3 1 -5); 69.36°, rel. 131, (2 2 2)